For Al8Cr5, DFT lattice parameters and positions (PBE) gives the theoretical XRD peak list in this record (copper Kα).

Structural model:
abc: 7.879 7.879 7.879
angles: 109.70 109.70 109.70
Positions (direct):
Al: 0.000 0.000 0.000
Al: 0.030 0.416 0.658
Al: 0.030 0.658 0.416
Al: 0.050 0.050 0.694
Al: 0.050 0.694 0.050
Al: 0.138 0.360 0.360
Al: 0.313 0.962 0.962
Al: 0.360 0.138 0.360
Al: 0.360 0.360 0.138
Al: 0.416 0.030 0.658
Al: 0.416 0.658 0.030
Al: 0.658 0.030 0.416
Al: 0.658 0.416 0.030
Al: 0.694 0.050 0.050
Al: 0.962 0.313 0.962
Al: 0.962 0.962 0.313
Cr: 0.331 0.331 0.681
Cr: 0.331 0.681 0.331
Cr: 0.363 0.709 0.709
Cr: 0.545 0.545 0.545
Cr: 0.681 0.331 0.331
Cr: 0.681 0.681 0.899
Cr: 0.681 0.899 0.681
Cr: 0.709 0.363 0.709
Cr: 0.709 0.709 0.363
Cr: 0.899 0.681 0.681

Most intense lines, 2θ from 10° to 90°, by intensity:
2θ/deg, d/Å, I_rel
42.1, 2.146, 1000
42.5, 2.129, 891
13.9, 6.388, 690
42.2, 2.139, 577
13.7, 6.442, 227
46.8, 1.941, 154
24.0, 3.713, 141
46.9, 1.936, 129
77.2, 1.236, 119
49.6, 1.839, 113
77.4, 1.234, 111
49.1, 1.854, 106